(1)
PmHo5ErTm2: computed X-ray powder pattern (Cu Ka), based on a DFT-relaxed cell (PBE, Alexandria).
Lines closer than 0.1° are merged.

Cell and atoms:
```
data_PmHo5ErTm2
_symmetry_space_group_name_H-M 'P 1'
_symmetry_Int_Tables_number 1
_symmetry_space_group_name_Hall 'P 1'
_cell_length_a 10.2245
_cell_length_b 10.2245
_cell_length_c 10.4924
_cell_angle_alpha 90.00
_cell_angle_beta 90.00
_cell_angle_gamma 148.44
loop_
_atom_site_label
_atom_site_fract_x
_atom_site_fract_y
_atom_site_fract_z
Pm1 0.0846 0.9154 0.5000
Pm2 0.9154 0.0846 0.0000
Ho1 0.0214 0.9786 0.7851
Ho2 0.1124 0.8876 0.0706
Ho3 0.2013 0.7987 0.7568
Ho4 0.2187 0.7813 0.3599
Ho5 0.4820 0.5180 0.0717
Ho6 0.5180 0.4820 0.5717
Ho7 0.7813 0.2187 0.8599
Ho8 0.7987 0.2013 0.2568
Ho9 0.8876 0.1124 0.5706
Ho10 0.9786 0.0214 0.2851
Er1 0.3006 0.6994 0.0597
Er2 0.6994 0.3006 0.5597
Tm1 0.3866 0.6134 0.3655
Tm2 0.3894 0.6106 0.7841
Tm3 0.6106 0.3894 0.2841
Tm4 0.6134 0.3866 0.8655
```

The 12 most intense peaks (15° ≤ 2θ ≤ 90°), sorted by position:
Position (°2θ)  Rel. int.
28.51  19
30.54  40
32.20  42
32.69  100
34.18  12
43.54  12
46.14  8
47.67  10
51.71  12
57.72  21
60.46  14
62.24  13

(2)
HfBeBi2: computed X-ray powder pattern (Cu Ka), based on a DFT-relaxed cell (PBE, Alexandria).
Lines closer than 0.1° are merged.

Cell and atoms:
```
data_HfBeBi2
_symmetry_space_group_name_H-M 'P 1'
_symmetry_Int_Tables_number 1
_symmetry_space_group_name_Hall 'P 1'
_cell_length_a 6.3991
_cell_length_b 6.3991
_cell_length_c 12.2428
_cell_angle_alpha 90.00
_cell_angle_beta 90.00
_cell_angle_gamma 90.00
loop_
_atom_site_label
_atom_site_fract_x
_atom_site_fract_y
_atom_site_fract_z
Hf1 0.0000 0.0000 0.0000
Hf2 0.0000 0.5000 0.2500
Hf3 0.5000 0.0000 0.7500
Hf4 0.5000 0.5000 0.5000
Be1 0.0000 0.0000 0.5000
Be2 0.0000 0.5000 0.7500
Be3 0.5000 0.0000 0.2500
Be4 0.5000 0.5000 0.0000
Bi1 0.2093 0.2500 0.6250
Bi2 0.2500 0.7093 0.8750
Bi3 0.2500 0.7907 0.3750
Bi4 0.2907 0.2500 0.1250
Bi5 0.7093 0.7500 0.1250
Bi6 0.7500 0.2093 0.3750
Bi7 0.7500 0.2907 0.8750
Bi8 0.7907 0.7500 0.6250
```

The 12 most intense peaks (15° ≤ 2θ ≤ 90°), sorted by position:
Position (°2θ)  Rel. int.
24.46  100
25.89  13
32.12  21
39.85  22
40.80  45
43.04  8
47.31  28
48.97  19
56.55  9
64.89  17
72.99  11
81.39  8

(3)
YHo2Tm12: computed X-ray powder pattern (Cu Ka), based on a DFT-relaxed cell (PBE, Alexandria).
Lines closer than 0.1° are merged.

Cell and atoms:
```
data_YHo2Tm12
_symmetry_space_group_name_H-M 'P 1'
_symmetry_Int_Tables_number 1
_symmetry_space_group_name_Hall 'P 1'
_cell_length_a 3.5904
_cell_length_b 5.5697
_cell_length_c 23.1286
_cell_angle_alpha 90.00
_cell_angle_beta 94.44
_cell_angle_gamma 90.00
loop_
_atom_site_label
_atom_site_fract_x
_atom_site_fract_y
_atom_site_fract_z
Y1 0.0000 0.0000 0.0000
Ho1 0.1412 0.0000 0.2850
Ho2 0.8588 0.0000 0.7150
Tm1 0.0950 0.5000 0.1931
Tm2 0.2205 0.5000 0.4429
Tm3 0.2893 0.0000 0.5754
Tm4 0.3396 0.5000 0.6776
Tm5 0.4262 0.0000 0.8524
Tm6 0.4701 0.5000 0.9328
Tm7 0.5299 0.5000 0.0672
Tm8 0.5738 0.0000 0.1476
Tm9 0.6604 0.5000 0.3224
Tm10 0.7107 0.0000 0.4246
Tm11 0.7795 0.5000 0.5571
Tm12 0.9050 0.5000 0.8069
```

The 12 most intense peaks (15° ≤ 2θ ≤ 90°), sorted by position:
Position (°2θ)  Rel. int.
30.40  15
31.03  16
31.55  30
32.14  47
32.64  100
34.49  30
35.05  17
48.60  12
50.86  13
57.62  20
59.46  13
61.45  15

(4)
TaBiSb: computed X-ray powder pattern (Cu Ka), based on a DFT-relaxed cell (PBE, Alexandria).
Lines closer than 0.1° are merged.

Cell and atoms:
```
data_TaBiSb
_symmetry_space_group_name_H-M 'P 1'
_symmetry_Int_Tables_number 1
_symmetry_space_group_name_Hall 'P 1'
_cell_length_a 7.2902
_cell_length_b 7.2902
_cell_length_c 7.5438
_cell_angle_alpha 90.00
_cell_angle_beta 90.00
_cell_angle_gamma 131.19
loop_
_atom_site_label
_atom_site_fract_x
_atom_site_fract_y
_atom_site_fract_z
Ta1 0.1116 0.8884 0.9235
Ta2 0.3884 0.6116 0.4235
Ta3 0.6116 0.3884 0.5765
Ta4 0.8884 0.1116 0.0765
Bi1 0.1908 0.3092 0.7500
Bi2 0.3092 0.1908 0.2500
Bi3 0.6908 0.8092 0.7500
Bi4 0.8092 0.6908 0.2500
Sb1 0.1938 0.8062 0.5839
Sb2 0.3062 0.6938 0.0839
Sb3 0.6938 0.3062 0.9161
Sb4 0.8062 0.1938 0.4161
```

The 12 most intense peaks (15° ≤ 2θ ≤ 90°), sorted by position:
Position (°2θ)  Rel. int.
20.01  25
27.19  27
29.40  39
32.65  24
34.61  28
34.80  61
38.26  100
38.94  41
42.25  16
55.05  26
64.02  12
74.87  15

(5)
CaPmPtAu: computed X-ray powder pattern (Cu Ka), based on a DFT-relaxed cell (PBE, Alexandria).
Lines closer than 0.1° are merged.

Cell and atoms:
```
data_CaPmPtAu
_symmetry_space_group_name_H-M 'P 1'
_symmetry_Int_Tables_number 1
_symmetry_space_group_name_Hall 'P 1'
_cell_length_a 7.1934
_cell_length_b 7.1934
_cell_length_c 7.1934
_cell_angle_alpha 90.00
_cell_angle_beta 90.00
_cell_angle_gamma 90.00
loop_
_atom_site_label
_atom_site_fract_x
_atom_site_fract_y
_atom_site_fract_z
Ca1 0.0000 0.0000 0.0000
Ca2 0.0000 0.5000 0.5000
Ca3 0.5000 0.0000 0.5000
Ca4 0.5000 0.5000 0.0000
Pm1 0.0000 0.0000 0.5000
Pm2 0.0000 0.5000 0.0000
Pm3 0.5000 0.0000 0.0000
Pm4 0.5000 0.5000 0.5000
Pt1 0.2500 0.2500 0.2500
Pt2 0.2500 0.7500 0.7500
Pt3 0.7500 0.2500 0.7500
Pt4 0.7500 0.7500 0.2500
Au1 0.2500 0.2500 0.7500
Au2 0.2500 0.7500 0.2500
Au3 0.7500 0.2500 0.2500
Au4 0.7500 0.7500 0.7500
```

The 12 most intense peaks (15° ≤ 2θ ≤ 90°), sorted by position:
Position (°2θ)  Rel. int.
21.40  8
24.75  14
35.29  100
41.64  4
43.59  5
50.77  18
55.70  2
57.28  6
63.34  37
74.64  11
80.04  3
85.34  17

(6)
Cs2LiCeI6: computed X-ray powder pattern (Cu Ka), based on a DFT-relaxed cell (PBE, Alexandria).
Lines closer than 0.1° are merged.

Cell and atoms:
```
data_Cs2LiCeI6
_symmetry_space_group_name_H-M 'P 1'
_symmetry_Int_Tables_number 1
_symmetry_space_group_name_Hall 'P 1'
_cell_length_a 8.6714
_cell_length_b 8.6714
_cell_length_c 8.6714
_cell_angle_alpha 60.00
_cell_angle_beta 60.00
_cell_angle_gamma 60.00
loop_
_atom_site_label
_atom_site_fract_x
_atom_site_fract_y
_atom_site_fract_z
Cs1 0.2500 0.2500 0.2500
Cs2 0.7500 0.7500 0.7500
Li1 0.0000 0.0000 0.0000
Ce1 0.5000 0.5000 0.5000
I1 0.2449 0.2449 0.7551
I2 0.2449 0.7551 0.2449
I3 0.2449 0.7551 0.7551
I4 0.7551 0.2449 0.2449
I5 0.7551 0.2449 0.7551
I6 0.7551 0.7551 0.2449
```

The 12 most intense peaks (15° ≤ 2θ ≤ 90°), sorted by position:
Position (°2θ)  Rel. int.
20.48  8
24.07  9
25.16  100
29.13  91
41.66  68
49.29  46
51.64  24
60.39  11
66.47  19
68.43  31
76.04  23
81.58  14

(7)
Hf4Sc3NbN8: computed X-ray powder pattern (Cu Ka), based on a DFT-relaxed cell (PBE, Alexandria).
Lines closer than 0.1° are merged.

Cell and atoms:
```
data_Hf4Sc3NbN8
_symmetry_space_group_name_H-M 'P 1'
_symmetry_Int_Tables_number 1
_symmetry_space_group_name_Hall 'P 1'
_cell_length_a 6.3773
_cell_length_b 6.3773
_cell_length_c 6.3773
_cell_angle_alpha 60.20
_cell_angle_beta 60.20
_cell_angle_gamma 60.20
loop_
_atom_site_label
_atom_site_fract_x
_atom_site_fract_y
_atom_site_fract_z
Hf1 0.0000 0.0000 0.0000
Hf2 0.0000 0.5000 0.5000
Hf3 0.5000 0.0000 0.5000
Hf4 0.5000 0.5000 0.0000
Sc1 0.0000 0.0000 0.5000
Sc2 0.0000 0.5000 0.0000
Sc3 0.5000 0.0000 0.0000
Nb1 0.5000 0.5000 0.5000
N1 0.2460 0.2460 0.7517
N2 0.2460 0.7517 0.2460
N3 0.2483 0.7540 0.7540
N4 0.2519 0.2519 0.2519
N5 0.7481 0.7481 0.7481
N6 0.7517 0.2460 0.2460
N7 0.7540 0.2483 0.7540
N8 0.7540 0.7540 0.2483
```

The 12 most intense peaks (15° ≤ 2θ ≤ 90°), sorted by position:
Position (°2θ)  Rel. int.
17.05  58
32.84  36
34.36  96
34.50  32
39.92  100
43.70  17
57.64  33
57.83  32
60.58  14
68.91  40
69.12  13
72.42  16

(8)
HoSc2Ru: computed X-ray powder pattern (Cu Ka), based on a DFT-relaxed cell (PBE, Alexandria).
Lines closer than 0.1° are merged.

Cell and atoms:
```
data_HoSc2Ru
_symmetry_space_group_name_H-M 'P 1'
_symmetry_Int_Tables_number 1
_symmetry_space_group_name_Hall 'P 1'
_cell_length_a 7.1582
_cell_length_b 8.5489
_cell_length_c 5.9629
_cell_angle_alpha 90.00
_cell_angle_beta 90.00
_cell_angle_gamma 90.00
loop_
_atom_site_label
_atom_site_fract_x
_atom_site_fract_y
_atom_site_fract_z
Ho1 0.0359 0.2500 0.1230
Ho2 0.4641 0.7500 0.6230
Ho3 0.5359 0.2500 0.3770
Ho4 0.9641 0.7500 0.8770
Sc1 0.1748 0.0636 0.6571
Sc2 0.1748 0.4364 0.6571
Sc3 0.3252 0.5636 0.1571
Sc4 0.3252 0.9364 0.1571
Sc5 0.6748 0.0636 0.8429
Sc6 0.6748 0.4364 0.8429
Sc7 0.8252 0.5636 0.3429
Sc8 0.8252 0.9364 0.3429
Ru1 0.1166 0.7500 0.4381
Ru2 0.3834 0.2500 0.9381
Ru3 0.6166 0.7500 0.0619
Ru4 0.8834 0.2500 0.5619
```

The 12 most intense peaks (15° ≤ 2θ ≤ 90°), sorted by position:
Position (°2θ)  Rel. int.
20.78  70
22.01  32
30.96  34
32.62  46
34.23  100
34.90  19
36.03  29
37.16  26
40.74  31
42.14  26
45.84  27
52.33  28

(9)
RbHfB: computed X-ray powder pattern (Cu Ka), based on a DFT-relaxed cell (PBE, Alexandria).
Lines closer than 0.1° are merged.

Cell and atoms:
```
data_RbHfB
_symmetry_space_group_name_H-M 'P 1'
_symmetry_Int_Tables_number 1
_symmetry_space_group_name_Hall 'P 1'
_cell_length_a 3.5681
_cell_length_b 4.5152
_cell_length_c 12.5280
_cell_angle_alpha 87.50
_cell_angle_beta 84.34
_cell_angle_gamma 66.81
loop_
_atom_site_label
_atom_site_fract_x
_atom_site_fract_y
_atom_site_fract_z
Rb1 0.0137 0.2565 0.3187
Rb2 0.9863 0.7435 0.6813
Hf1 0.1668 0.2174 0.9262
Hf2 0.8332 0.7826 0.0738
B1 0.4376 0.6542 0.9573
B2 0.5624 0.3458 0.0427
```

The 12 most intense peaks (15° ≤ 2θ ≤ 90°), sorted by position:
Position (°2θ)  Rel. int.
21.38  51
25.72  100
25.85  67
27.31  82
27.61  46
30.36  48
30.52  48
32.10  84
33.34  79
36.01  35
41.38  48
43.60  65

(10)
Sn2PN: computed X-ray powder pattern (Cu Ka), based on a DFT-relaxed cell (PBE, Alexandria).
Lines closer than 0.1° are merged.

Cell and atoms:
```
data_Sn2PN
_symmetry_space_group_name_H-M 'P 1'
_symmetry_Int_Tables_number 1
_symmetry_space_group_name_Hall 'P 1'
_cell_length_a 5.8172
_cell_length_b 5.8172
_cell_length_c 10.4897
_cell_angle_alpha 90.00
_cell_angle_beta 90.00
_cell_angle_gamma 90.00
loop_
_atom_site_label
_atom_site_fract_x
_atom_site_fract_y
_atom_site_fract_z
Sn1 0.1958 0.2500 0.1250
Sn2 0.2500 0.6958 0.3750
Sn3 0.2500 0.8042 0.8750
Sn4 0.3042 0.2500 0.6250
Sn5 0.6958 0.7500 0.6250
Sn6 0.7500 0.1958 0.8750
Sn7 0.7500 0.3042 0.3750
Sn8 0.8042 0.7500 0.1250
P1 0.0000 0.0000 0.5000
P2 0.0000 0.5000 0.7500
P3 0.5000 0.0000 0.2500
P4 0.5000 0.5000 0.0000
N1 0.0000 0.0000 0.0000
N2 0.0000 0.5000 0.2500
N3 0.5000 0.0000 0.7500
N4 0.5000 0.5000 0.5000
```

The 12 most intense peaks (15° ≤ 2θ ≤ 90°), sorted by position:
Position (°2θ)  Rel. int.
27.56  100
30.74  20
34.19  10
35.55  16
43.35  7
44.03  14
46.63  30
52.73  21
57.26  13
57.82  7
63.50  7
74.94  8

(11)
CaNdZnHg: computed X-ray powder pattern (Cu Ka), based on a DFT-relaxed cell (PBE, Alexandria).
Lines closer than 0.1° are merged.

Cell and atoms:
```
data_CaNdZnHg
_symmetry_space_group_name_H-M 'P 1'
_symmetry_Int_Tables_number 1
_symmetry_space_group_name_Hall 'P 1'
_cell_length_a 3.7558
_cell_length_b 3.7558
_cell_length_c 7.5013
_cell_angle_alpha 90.00
_cell_angle_beta 90.00
_cell_angle_gamma 90.00
loop_
_atom_site_label
_atom_site_fract_x
_atom_site_fract_y
_atom_site_fract_z
Ca1 0.0000 0.0000 0.0000
Nd1 0.0000 0.0000 0.5217
Zn1 0.5000 0.5000 0.7512
Hg1 0.5000 0.5000 0.2584
```

The 12 most intense peaks (15° ≤ 2θ ≤ 90°), sorted by position:
Position (°2θ)  Rel. int.
23.70  4
26.54  18
33.77  100
35.88  9
48.50  18
50.09  7
56.11  5
60.40  36
67.17  4
71.02  11
80.95  11
81.07  5

(12)
K2Cd2IO6: computed X-ray powder pattern (Cu Ka), based on a DFT-relaxed cell (PBE, Alexandria).
Lines closer than 0.1° are merged.

Cell and atoms:
```
data_K2Cd2IO6
_symmetry_space_group_name_H-M 'P 1'
_symmetry_Int_Tables_number 1
_symmetry_space_group_name_Hall 'P 1'
_cell_length_a 5.8126
_cell_length_b 5.8126
_cell_length_c 6.6385
_cell_angle_alpha 99.50
_cell_angle_beta 99.50
_cell_angle_gamma 118.38
loop_
_atom_site_label
_atom_site_fract_x
_atom_site_fract_y
_atom_site_fract_z
K1 0.1764 0.8236 0.0000
K2 0.8236 0.1764 0.0000
Cd1 0.3366 0.6634 0.5000
Cd2 0.6634 0.3366 0.5000
I1 0.0000 0.0000 0.5000
O1 0.0579 0.3531 0.6803
O2 0.2218 0.2218 0.3214
O3 0.3531 0.0579 0.6803
O4 0.6469 0.9421 0.3197
O5 0.7782 0.7782 0.6786
O6 0.9421 0.6469 0.3197
```

The 12 most intense peaks (15° ≤ 2θ ≤ 90°), sorted by position:
Position (°2θ)  Rel. int.
28.40  51
30.29  21
31.21  40
31.75  33
32.13  64
35.27  55
36.53  100
46.24  23
49.51  33
53.79  29
58.72  24
62.57  21

(13)
Cs2HoGeS4: computed X-ray powder pattern (Cu Ka), based on a DFT-relaxed cell (PBE, Alexandria).
Lines closer than 0.1° are merged.

Cell and atoms:
```
data_Cs2HoGeS4
_symmetry_space_group_name_H-M 'P 1'
_symmetry_Int_Tables_number 1
_symmetry_space_group_name_Hall 'P 1'
_cell_length_a 14.8175
_cell_length_b 13.2782
_cell_length_c 8.0413
_cell_angle_alpha 84.24
_cell_angle_beta 63.07
_cell_angle_gamma 32.68
loop_
_atom_site_label
_atom_site_fract_x
_atom_site_fract_y
_atom_site_fract_z
Cs1 0.0547 0.0547 0.6953
Cs2 0.3047 0.3047 0.9453
Cs3 0.6953 0.6953 0.0547
Cs4 0.9453 0.9453 0.3047
Ho1 0.1250 0.1250 0.1250
Ho2 0.8750 0.8750 0.8750
Ge1 0.3750 0.3750 0.3750
Ge2 0.6250 0.6250 0.6250
S1 0.0012 0.6504 0.5618
S2 0.2866 0.5618 0.6504
S3 0.3496 0.9988 0.7134
S4 0.4382 0.7134 0.9988
S5 0.5618 0.2866 0.0012
S6 0.6504 0.0012 0.2866
S7 0.7134 0.4382 0.3496
S8 0.9988 0.3496 0.4382
```

The 12 most intense peaks (15° ≤ 2θ ≤ 90°), sorted by position:
Position (°2θ)  Rel. int.
15.22  36
22.80  26
22.94  32
24.02  100
24.23  38
24.97  33
28.62  58
29.89  56
34.47  49
42.56  68
46.31  31
62.04  21